Record 1
Starting from DFT lattice parameters and positions (GGA-PBE), the XRD peak list of PmHoIr2 was calculated for λ = 1.5418 Å (Cu Kα).

```
PmHoIr2
1.0
6.941 0.000 0.000
0.000 6.941 0.000
0.000 0.000 6.941
Pm Ho Ir
4 4 8
Direct
0.000 0.000 0.000
0.000 0.500 0.500
0.500 0.000 0.500
0.500 0.500 0.000
0.000 0.000 0.500
0.000 0.500 0.000
0.500 0.000 0.000
0.500 0.500 0.500
0.250 0.250 0.250
0.250 0.250 0.750
0.250 0.750 0.250
0.250 0.750 0.750
0.750 0.250 0.250
0.750 0.250 0.750
0.750 0.750 0.250
0.750 0.750 0.750
```

Principal peaks in the range 10° ≤ 2θ ≤ 80°, in order of rising 2θ:
d_spacing	I (rel.)
3.470	1
2.454	100
1.735	18
1.552	1
1.417	36
1.227	11

Record 2
Starting from DFT lattice parameters and positions (GGA-PBE), the XRD peak list of HoSbIr was calculated for λ = 1.5418 Å (Cu Kα).

```
HoSbIr
1.0
7.156 0.000 0.000
0.000 4.474 0.000
0.000 0.000 7.984
Ho Sb Ir
4 4 4
Direct
0.014 0.250 0.188
0.486 0.750 0.688
0.514 0.250 0.312
0.986 0.750 0.812
0.173 0.250 0.587
0.327 0.750 0.087
0.673 0.250 0.913
0.827 0.750 0.413
0.213 0.750 0.407
0.287 0.250 0.907
0.713 0.750 0.093
0.787 0.250 0.593
```

Principal peaks in the range 10° ≤ 2θ ≤ 80°, in order of rising 2θ:
d_spacing	I (rel.)
2.750	61
2.664	30
2.637	100
2.287	90
2.237	46
1.927	16
1.713	16
1.599	20
1.448	24
1.290	16

Record 3
Starting from DFT lattice parameters and positions (GGA-PBE), the XRD peak list of HoSiIr was calculated for λ = 1.5418 Å (Cu Kα).

```
HoSiIr
1.0
6.839 0.000 0.000
0.000 4.231 0.000
0.000 0.000 7.436
Ho Si Ir
4 4 4
Direct
0.001 0.250 0.188
0.499 0.750 0.688
0.501 0.250 0.312
0.999 0.750 0.812
0.202 0.750 0.391
0.298 0.250 0.891
0.702 0.750 0.109
0.798 0.250 0.609
0.158 0.250 0.568
0.342 0.750 0.068
0.658 0.250 0.932
0.842 0.750 0.432
```

Principal peaks in the range 10° ≤ 2θ ≤ 80°, in order of rising 2θ:
d_spacing	I (rel.)
3.239	66
2.660	34
2.586	100
2.517	33
2.504	88
2.180	47
2.139	52
2.116	50
1.518	30
1.364	48

Record 4
Starting from DFT lattice parameters and positions (GGA-PBE), the XRD peak list of HoSi3Ir was calculated for λ = 1.5418 Å (Cu Kα).

```
HoSi3Ir
1.0
4.182 0.000 0.000
0.000 4.182 0.000
0.000 0.000 9.833
Ho Si Ir
2 6 2
Direct
0.000 0.000 0.000
0.500 0.500 0.500
0.000 0.000 0.417
0.000 0.500 0.268
0.000 0.500 0.768
0.500 0.000 0.268
0.500 0.000 0.768
0.500 0.500 0.917
0.000 0.000 0.654
0.500 0.500 0.154
```

Principal peaks in the range 10° ≤ 2θ ≤ 80°, in order of rising 2θ:
d_spacing	I (rel.)
4.916	22
3.848	48
2.957	63
2.580	100
2.534	43
2.091	43
1.780	19
1.624	50
1.433	17
1.355	15

Record 5
Starting from DFT lattice parameters and positions (GGA-PBE), the XRD peak list of Ho3Si13Ir4 was calculated for λ = 1.5418 Å (Cu Kα).

```
Ho3Si13Ir4
1.0
8.750 0.000 0.000
0.000 8.750 0.000
0.000 0.000 8.750
Ho Si Ir
6 26 8
Direct
0.000 0.250 0.500
0.000 0.750 0.500
0.250 0.500 0.000
0.500 0.000 0.250
0.500 0.000 0.750
0.750 0.500 0.000
0.000 0.000 0.000
0.000 0.294 0.138
0.000 0.294 0.862
0.000 0.706 0.138
0.000 0.706 0.862
0.138 0.000 0.294
0.138 0.000 0.706
0.206 0.500 0.362
0.206 0.500 0.638
0.294 0.138 0.000
0.294 0.862 0.000
0.362 0.206 0.500
0.362 0.794 0.500
0.500 0.362 0.206
0.500 0.362 0.794
0.500 0.500 0.500
0.500 0.638 0.206
0.500 0.638 0.794
0.638 0.206 0.500
0.638 0.794 0.500
0.706 0.138 0.000
0.706 0.862 0.000
0.794 0.500 0.362
0.794 0.500 0.638
0.862 0.000 0.294
0.862 0.000 0.706
0.250 0.250 0.250
0.250 0.250 0.750
0.250 0.750 0.250
0.250 0.750 0.750
0.750 0.250 0.250
0.750 0.250 0.750
0.750 0.750 0.250
0.750 0.750 0.750
```

Principal peaks in the range 10° ≤ 2θ ≤ 80°, in order of rising 2θ:
d_spacing	I (rel.)
4.375	70
3.913	52
3.094	51
2.526	100
2.427	50
2.188	64
1.957	39
1.786	41
1.547	34
1.319	45

Record 6
Starting from DFT lattice parameters and positions (GGA-PBE), the XRD peak list of HoSi2Ir2 was calculated for λ = 1.5418 Å (Cu Kα).

```
HoSi2Ir2
1.0
4.081 0.000 0.000
0.000 4.081 0.000
0.000 0.000 9.951
Ho Si Ir
2 4 4
Direct
0.000 0.000 0.000
0.500 0.500 0.500
0.000 0.000 0.379
0.000 0.000 0.621
0.500 0.500 0.121
0.500 0.500 0.879
0.000 0.500 0.250
0.000 0.500 0.750
0.500 0.000 0.250
0.500 0.000 0.750
```

Principal peaks in the range 10° ≤ 2θ ≤ 80°, in order of rising 2θ:
d_spacing	I (rel.)
4.976	21
3.775	14
2.574	15
2.496	100
2.488	20
2.040	34
1.886	18
1.578	20
1.438	18
1.249	32

Record 7
Starting from DFT lattice parameters and positions (GGA-PBE), the XRD peak list of HoSi2Ir2 was calculated for λ = 1.5418 Å (Cu Kα).

```
HoSi2Ir2
1.0
4.122 0.000 0.000
0.000 4.122 0.000
0.000 0.000 9.869
Ho Si Ir
2 4 4
Direct
0.250 0.250 0.246
0.750 0.750 0.754
0.250 0.250 0.631
0.250 0.750 0.000
0.750 0.250 0.000
0.750 0.750 0.369
0.250 0.250 0.871
0.250 0.750 0.500
0.750 0.250 0.500
0.750 0.750 0.129
```

Principal peaks in the range 10° ≤ 2θ ≤ 80°, in order of rising 2θ:
d_spacing	I (rel.)
3.290	29
3.164	27
2.795	66
2.571	64
2.510	100
2.061	66
1.780	26
1.608	31
1.457	22
1.260	23

Record 8
Starting from DFT lattice parameters and positions (GGA-PBE), the XRD peak list of SmHoIr2 was calculated for λ = 1.5418 Å (Cu Kα).

```
SmHoIr2
1.0
6.922 0.000 0.000
0.000 6.922 0.000
0.000 0.000 6.922
Sm Ho Ir
4 4 8
Direct
0.000 0.000 0.000
0.000 0.500 0.500
0.500 0.000 0.500
0.500 0.500 0.000
0.000 0.000 0.500
0.000 0.500 0.000
0.500 0.000 0.000
0.500 0.500 0.500
0.250 0.250 0.250
0.250 0.250 0.750
0.250 0.750 0.250
0.250 0.750 0.750
0.750 0.250 0.250
0.750 0.250 0.750
0.750 0.750 0.250
0.750 0.750 0.750
```

Principal peaks in the range 10° ≤ 2θ ≤ 80°, in order of rising 2θ:
d_spacing	I (rel.)
3.461	1
2.447	100
1.731	18
1.413	36
1.224	11

Record 9
Starting from DFT lattice parameters and positions (GGA-PBE), the XRD peak list of TbHoIr2 was calculated for λ = 1.5418 Å (Cu Kα).

```
TbHoIr2
1.0
6.859 0.000 0.000
0.000 6.859 0.000
0.000 0.000 6.859
Tb Ho Ir
4 4 8
Direct
0.000 0.000 0.000
0.000 0.500 0.500
0.500 0.000 0.500
0.500 0.500 0.000
0.000 0.000 0.500
0.000 0.500 0.000
0.500 0.000 0.000
0.500 0.500 0.500
0.250 0.250 0.250
0.250 0.250 0.750
0.250 0.750 0.250
0.250 0.750 0.750
0.750 0.250 0.250
0.750 0.250 0.750
0.750 0.750 0.250
0.750 0.750 0.750
```

Principal peaks in the range 10° ≤ 2θ ≤ 80°, in order of rising 2θ:
d_spacing	I (rel.)
3.429	1
2.425	100
1.715	18
1.400	36
1.213	11

Record 10
Starting from DFT lattice parameters and positions (GGA-PBE), the XRD peak list of K2HoNb5O15 was calculated for λ = 1.5418 Å (Cu Kα).

```
K2HoNb5O15
1.0
12.739 0.000 0.000
0.000 12.739 0.000
0.000 0.000 3.953
K Ho Nb O
4 2 10 30
Direct
0.170 0.330 0.000
0.330 0.830 0.000
0.670 0.170 0.000
0.830 0.670 0.000
0.000 0.000 0.000
0.500 0.500 0.000
0.000 0.500 0.500
0.076 0.788 0.500
0.212 0.076 0.500
0.288 0.576 0.500
0.424 0.288 0.500
0.500 0.000 0.500
0.576 0.712 0.500
0.712 0.424 0.500
0.788 0.924 0.500
0.924 0.212 0.500
0.000 0.342 0.500
0.000 0.500 0.000
0.000 0.658 0.500
0.058 0.130 0.500
0.078 0.816 0.000
0.130 0.942 0.500
0.158 0.500 0.500
0.184 0.078 0.000
0.217 0.717 0.500
0.283 0.217 0.500
0.316 0.578 0.000
0.342 0.000 0.500
0.370 0.442 0.500
0.422 0.316 0.000
0.442 0.630 0.500
0.500 0.000 0.000
0.500 0.158 0.500
0.500 0.842 0.500
0.558 0.370 0.500
0.578 0.684 0.000
0.630 0.558 0.500
0.658 0.000 0.500
0.684 0.422 0.000
0.717 0.783 0.500
0.783 0.283 0.500
0.816 0.922 0.000
0.842 0.500 0.500
0.870 0.058 0.500
0.922 0.184 0.000
0.942 0.870 0.500
```

Principal peaks in the range 10° ≤ 2θ ≤ 80°, in order of rising 2θ:
d_spacing	I (rel.)
6.369	46
3.533	39
3.248	33
3.090	48
2.971	35
2.849	47
2.822	100
2.014	30
1.977	31
1.639	49

Record 11
Starting from DFT lattice parameters and positions (GGA-PBE), the XRD peak list of KHoP4O12 was calculated for λ = 1.5418 Å (Cu Kα).

```
KHoP4O12
1.0
3.958 -6.251 0.000
3.958 6.251 0.000
-3.772 0.000 9.818
K Ho P O
2 2 8 24
Direct
0.184 0.816 0.750
0.816 0.184 0.250
0.120 0.880 0.250
0.880 0.120 0.750
0.255 0.303 0.557
0.285 0.626 0.003
0.303 0.255 0.057
0.374 0.715 0.497
0.626 0.285 0.503
0.697 0.745 0.943
0.715 0.374 0.997
0.745 0.697 0.443
0.090 0.486 0.885
0.136 0.156 0.414
0.156 0.136 0.914
0.184 0.247 0.674
0.191 0.705 0.398
0.247 0.184 0.174
0.272 0.529 0.564
0.295 0.809 0.102
0.358 0.499 0.090
0.471 0.728 0.936
0.486 0.090 0.385
0.499 0.358 0.590
0.501 0.642 0.410
0.514 0.910 0.615
0.529 0.272 0.064
0.642 0.501 0.910
0.705 0.191 0.898
0.728 0.471 0.436
0.753 0.816 0.826
0.809 0.295 0.602
0.816 0.753 0.326
0.844 0.864 0.086
0.864 0.844 0.586
0.910 0.514 0.115
```

Principal peaks in the range 10° ≤ 2θ ≤ 80°, in order of rising 2θ:
d_spacing	I (rel.)
6.299	53
5.273	100
4.640	53
3.694	29
3.646	34
3.410	84
3.225	36
3.201	81
2.386	34
1.845	36